Entry 1:
Structure and simulated powder XRD pattern of In4CuI2 (DFT lattice parameters and positions (GGA-PBE); Cu Kα, 1.54184 Å).
No peak broadening, texture or thermal motion is included.

The 6 most intense peaks (2θ from 10° to 80°), by intensity:
two_theta  d [Å]  Rel. int.
31.7  2.824  100
35.1  2.559  95
26.5  3.359  80
46.6  1.950  76
29.7  3.011  67
24.6  3.619  40

```
In4CuI2
1.0
-2.5587 2.5587 9.0327
2.5587 -2.5587 9.0327
2.5587 2.5587 -9.0327
In Cu I
4 1 2
direct
0.0000 0.5000 0.5000
0.1530 0.1530 0.0000
0.5000 0.0000 0.5000
0.8470 0.8470 0.0000
0.0000 0.0000 0.0000
0.3393 0.3393 0.0000
0.6607 0.6607 0.0000
```

Entry 2:
Structure and simulated powder XRD pattern of Pr5Sm4Ho3 (DFT lattice parameters and positions (GGA-PBE); Cu Kα, 1.54184 Å).
No peak broadening, texture or thermal motion is included.

The 6 most intense peaks (2θ from 10° to 80°), by intensity:
two_theta  d [Å]  Rel. int.
30.1  2.970  100
34.8  2.575  34
59.6  1.551  29
50.1  1.821  18
50.2  1.817  18
35.0  2.567  17

```
Pr5Sm4Ho3
1.0
6.3013 0.0000 0.0000
-0.0238 7.2670 0.0000
-0.0315 -0.0024 8.9187
Pr Sm Ho
5 4 3
direct
0.0000 0.0000 0.0000
0.3300 0.5000 0.3345
0.4978 0.2508 0.9995
0.5022 0.7492 0.0005
0.6700 0.5000 0.6655
0.1656 0.7499 0.6659
0.3346 0.9998 0.3356
0.6654 0.0002 0.6644
0.8344 0.2501 0.3341
0.0000 0.5000 0.0000
0.1666 0.2497 0.6664
0.8334 0.7503 0.3336
```